Starting from a cell relaxed with PBE, the powder X-ray diffraction pattern of TeMo4Ru2 was simulated for Cu Kα.

Atomic structure:
```
data_TeMo4Ru2
_space_group_name_H-M_alt 'I 4/m m m'
_space_group_IT_number 139
_space_group_name_Hall '-I 4 2'
_cell_length_a 4.865
_cell_length_b 4.865
_cell_length_c 12.567
_cell_angle_alpha 90.00
_cell_angle_beta 90.00
_cell_angle_gamma 90.00
loop_
_atom_site_label
_atom_site_type_symbol
_atom_site_fract_x
_atom_site_fract_y
_atom_site_fract_z
Te1 Te 0.000 0.000 0.000
Mo1 Mo 0.000 0.000 0.210
Mo2 Mo 0.000 0.500 0.000
Ru1 Ru 0.000 0.000 0.388
```

Top 8 peaks for 2θ from 5° to 70°, in order of falling intensity:
| 2θ/deg | Rel. int. |
| --- | --- |
| 36.95 | 100 |
| 40.39 | 75 |
| 55.89 | 57 |
| 25.90 | 54 |
| 14.09 | 35 |
| 53.25 | 34 |
| 29.60 | 31 |
| 68.90 | 15 |

Starting from a cell relaxed with PBE, the powder X-ray diffraction pattern of Tb5Pr6Tl was simulated for Cu Kα.

Atomic structure:
```
data_Tb5Pr6Tl
_space_group_name_H-M_alt 'I m m m'
_space_group_IT_number 71
_space_group_name_Hall '-I 2 2'
_cell_length_a 5.092
_cell_length_b 10.101
_cell_length_c 15.483
_cell_angle_alpha 90.00
_cell_angle_beta 90.00
_cell_angle_gamma 90.00
loop_
_atom_site_label
_atom_site_type_symbol
_atom_site_fract_x
_atom_site_fract_y
_atom_site_fract_z
Tb1 Tb 0.000 0.000 0.000
Tb2 Tb 0.000 0.000 0.330
Tb3 Tb 0.000 0.500 0.336
Pr1 Pr 0.000 0.244 0.500
Pr2 Pr 0.000 0.255 0.165
Tl1 Tl 0.000 0.500 0.000
```

Top 8 peaks for 2θ from 5° to 70°, in order of falling intensity:
| 2θ/deg | Rel. int. |
| --- | --- |
| 30.35 | 100 |
| 34.77 | 17 |
| 35.25 | 17 |
| 35.55 | 16 |
| 59.61 | 15 |
| 60.25 | 14 |
| 60.65 | 14 |
| 63.15 | 12 |